No. 1
Computed powder diffraction line list
Compound: LiFeSiO4
Radiation: Cu Kα X-rays
Structure: the PBE+U geometry in the Materials Project

Largest 10 diffraction maxima, sorted by position, 2θ = 10–90°:
(1 1 0), 20.4°, d 4.356, rel. 100
(0 0 2), 21.9°, d 4.049, rel. 92
(1 1 1), 23.2°, d 3.836, rel. 98
(1 1 2), 30.1°, d 2.966, rel. 47
(2 1 0), 31.4°, d 2.852, rel. 31
(3 0 0), 35.7°, d 2.515, rel. 36
(3 0 1), 37.4°, d 2.402, rel. 28
(1 1 3), 39.3°, d 2.295, rel. 60
(3 0 2), 42.3°, d 2.137, rel. 30
(2 2 3), 54.1°, d 1.695, rel. 26

Atomic structure:
abc: 8.7125 8.7125 8.0989
angles: 90.00 90.00 120.00
Space group P6_3 (No. 173)
Asymmetric unit:
Li 0.0000 0.0000 0.0000
Li 0.3333 0.6667 0.1024
Li 0.3333 0.6667 0.6506
Fe 0.0293 0.6882 0.7902
Si 0.0399 0.6852 0.4046
O 0.0904 0.2269 0.9029
O 0.0926 0.5293 0.8843
O 0.1461 0.7310 0.5827
O 0.1950 0.7791 0.2610



No. 2
Computed powder diffraction line list
Compound: Li6FeSi2O8
Radiation: Cu Kα X-rays
Structure: the PBE+U geometry in the Materials Project

Largest 10 diffraction maxima, sorted by position, 2θ = 10–90°:
(0 0 1), 14.5°, d 6.116, rel. 64
(0 1 0), 16.0°, d 5.527, rel. 33
(0 1 1), 21.5°, d 4.133, rel. 100
(1 1 0), 23.0°, d 3.866, rel. 40
(1 0 -1), 25.0°, d 3.567, rel. 22
(1 1 -1), 29.2°, d 3.056, rel. 39
(1 0 2), 31.2°, d 2.870, rel. 28
(1 -2 0), 38.3°, d 2.352, rel. 25
(1 2 -1), 40.4°, d 2.232, rel. 52
(1 1 3), 47.0°, d 1.934, rel. 29

Atomic structure:
abc: 5.150 5.544 6.235
angles: 88.26 78.82 85.59
Space group P-1 (No. 2)
Asymmetric unit:
Li 0.114 0.245 0.036
Li 0.284 0.360 0.615
Li 0.337 0.583 0.192
Fe 0.000 0.000 0.500
Si 0.376 0.794 0.721
O 0.198 0.051 0.778
O 0.266 0.578 0.897
O 0.298 0.216 0.297
O 0.313 0.710 0.483



No. 3
Computed powder diffraction line list
Compound: LiFeSi3O8
Radiation: Cu Kα X-rays
Structure: the PBE+U geometry in the Materials Project

Largest 10 diffraction maxima, sorted by position, 2θ = 10–90°:
(1 1 1), 17.5°, d 5.077, rel. 68
(2 0 0), 20.9°, d 4.251, rel. 100
(0 1 2), 21.8°, d 4.084, rel. 25
(1 2 1), 25.0°, d 3.564, rel. 44
(0 2 2), 28.2°, d 3.164, rel. 84
(0 1 3), 30.8°, d 2.906, rel. 29
(1 1 3), 32.5°, d 2.752, rel. 22
(2 2 2), 35.4°, d 2.538, rel. 25
(3 2 0), 37.9°, d 2.372, rel. 25
(1 1 5), 51.6°, d 1.772, rel. 20

Atomic structure:
abc: 8.502 8.670 9.260
angles: 90.00 90.00 90.00
Space group P2_12_12_1 (No. 19)
Asymmetric unit:
Li 0.044 0.163 0.115
Fe 0.187 0.218 0.734
Si 0.151 0.501 0.102
Si 0.189 0.707 0.827
Si 0.196 0.995 0.463
O 0.012 0.774 0.830
O 0.019 0.916 0.434
O 0.142 0.636 0.224
O 0.174 0.137 0.923
O 0.188 0.152 0.361
O 0.220 0.569 0.948
O 0.238 0.641 0.665
O 0.241 0.043 0.627